Record 1
The following is a computed X-ray diffraction stick pattern of SbH2CO4F6. It was derived from a cell relaxed with GGA-PBE, using copper Kα.
Neutral-atom scattering factors, no anomalous dispersion.

Crystal structure
```
SbH2CO4F6
1.0
7.053 -4.504 0.000
7.053 4.504 0.000
-4.173 0.000 12.639
Sb H C O F
4 8 4 16 24
direct
0.195 0.245 0.361
0.245 0.195 0.861
0.755 0.805 0.139
0.805 0.755 0.639
0.052 0.823 0.341
0.177 0.948 0.159
0.229 0.730 0.904
0.270 0.771 0.596
0.730 0.229 0.404
0.771 0.270 0.096
0.823 0.052 0.841
0.948 0.177 0.659
0.082 0.913 0.500
0.087 0.918 0.000
0.913 0.082 0.000
0.918 0.087 0.500
0.112 0.831 0.907
0.129 0.805 0.417
0.169 0.888 0.593
0.195 0.871 0.083
0.387 0.467 0.136
0.452 0.538 0.632
0.462 0.548 0.868
0.467 0.387 0.636
0.533 0.613 0.364
0.538 0.452 0.132
0.548 0.462 0.368
0.613 0.533 0.864
0.805 0.129 0.917
0.831 0.112 0.407
0.871 0.195 0.583
0.888 0.169 0.093
0.014 0.195 0.768
0.060 0.665 0.678
0.137 0.448 0.901
0.154 0.171 0.973
0.171 0.154 0.473
0.189 0.465 0.451
0.195 0.014 0.268
0.220 0.312 0.242
0.312 0.220 0.742
0.335 0.940 0.822
0.448 0.137 0.401
0.465 0.189 0.951
0.535 0.811 0.049
0.552 0.863 0.599
0.665 0.060 0.178
0.688 0.780 0.258
0.780 0.688 0.758
0.805 0.986 0.732
0.811 0.535 0.549
0.829 0.846 0.527
0.846 0.829 0.027
0.863 0.552 0.099
0.940 0.335 0.322
0.986 0.805 0.232
```

Largest 10 diffraction maxima, sorted by position, 2θ = 5–70°:
| two_theta | I_rel |
| --- | --- |
| 11.84 | 24 |
| 13.22 | 45 |
| 16.71 | 100 |
| 19.71 | 58 |
| 19.92 | 88 |
| 22.19 | 27 |
| 22.72 | 83 |
| 23.81 | 30 |
| 42.51 | 26 |
| 51.67 | 18 |


Record 2
The following is a computed X-ray diffraction stick pattern of Rb2ScHgI6. It was derived from a cell relaxed with GGA-PBE, using copper Kα.
Neutral-atom scattering factors, no anomalous dispersion.

Crystal structure
```
Rb2ScHgI6
1.0
0.000 6.106 6.106
6.106 0.000 6.106
6.106 6.106 0.000
Rb Sc Hg I
2 1 1 6
direct
0.250 0.250 0.250
0.750 0.750 0.750
0.000 0.000 0.000
0.500 0.500 0.500
0.238 0.238 0.762
0.238 0.762 0.238
0.238 0.762 0.762
0.762 0.238 0.238
0.762 0.238 0.762
0.762 0.762 0.238
```

Largest 10 diffraction maxima, sorted by position, 2θ = 5–70°:
| two_theta | I_rel |
| --- | --- |
| 14.51 | 41 |
| 24.17 | 14 |
| 25.26 | 66 |
| 29.25 | 100 |
| 31.94 | 15 |
| 32.80 | 22 |
| 41.84 | 73 |
| 49.51 | 28 |
| 51.87 | 25 |
| 68.75 | 31 |


Record 3
The following is a computed X-ray diffraction stick pattern of Rb3Na. It was derived from a cell relaxed with GGA-PBE, using copper Kα.
Neutral-atom scattering factors, no anomalous dispersion.

Crystal structure
```
Rb3Na
1.0
10.549 0.000 0.000
0.000 10.549 0.000
0.000 0.000 10.549
Rb Na
12 4
direct
0.000 0.000 0.000
0.000 0.500 0.500
0.250 0.250 0.250
0.250 0.250 0.750
0.250 0.750 0.250
0.250 0.750 0.750
0.500 0.000 0.500
0.500 0.500 0.000
0.750 0.250 0.250
0.750 0.250 0.750
0.750 0.750 0.250
0.750 0.750 0.750
0.000 0.000 0.500
0.000 0.500 0.000
0.500 0.000 0.000
0.500 0.500 0.500
```

Largest 10 diffraction maxima, sorted by position, 2θ = 5–70°:
| two_theta | I_rel |
| --- | --- |
| 14.54 | 10 |
| 16.81 | 5 |
| 23.86 | 100 |
| 28.05 | 6 |
| 33.99 | 20 |
| 41.96 | 43 |
| 48.84 | 14 |
| 55.06 | 19 |
| 60.84 | 5 |
| 66.31 | 22 |


Record 4
The following is a computed X-ray diffraction stick pattern of Pr3InFeS7. It was derived from a cell relaxed with GGA-PBE, using copper Kα.
Neutral-atom scattering factors, no anomalous dispersion.

Crystal structure
```
Pr3InFeS7
1.0
10.069 0.000 0.000
-5.035 8.720 0.000
0.000 0.000 6.423
Pr In Fe S
6 2 2 14
direct
0.154 0.780 0.000
0.220 0.374 0.000
0.374 0.154 0.500
0.626 0.846 0.000
0.780 0.626 0.500
0.846 0.220 0.500
0.333 0.667 0.571
0.667 0.333 0.071
0.000 0.000 0.158
0.000 0.000 0.658
0.081 0.515 0.740
0.096 0.872 0.400
0.128 0.224 0.400
0.224 0.096 0.900
0.333 0.667 0.193
0.434 0.919 0.740
0.485 0.566 0.740
0.515 0.434 0.240
0.566 0.081 0.240
0.667 0.333 0.693
0.776 0.904 0.400
0.872 0.776 0.900
0.904 0.128 0.900
0.919 0.485 0.240
```

Largest 10 diffraction maxima, sorted by position, 2θ = 5–70°:
| two_theta | I_rel |
| --- | --- |
| 24.68 | 100 |
| 27.78 | 14 |
| 33.85 | 22 |
| 34.69 | 30 |
| 35.67 | 39 |
| 39.17 | 17 |
| 43.86 | 15 |
| 45.80 | 15 |
| 47.30 | 23 |
| 49.99 | 13 |


Record 5
The following is a computed X-ray diffraction stick pattern of Ba3As2O8. It was derived from a cell relaxed with GGA-PBE, using copper Kα.
Neutral-atom scattering factors, no anomalous dispersion.

Crystal structure
```
Ba3As2O8
1.0
2.941 1.698 7.204
-2.941 1.698 7.204
0.000 -3.396 7.204
Ba As O
3 2 8
direct
0.000 0.000 0.000
0.207 0.207 0.207
0.793 0.793 0.793
0.407 0.407 0.407
0.593 0.593 0.593
0.246 0.726 0.726
0.274 0.274 0.754
0.274 0.754 0.274
0.328 0.328 0.328
0.672 0.672 0.672
0.726 0.246 0.726
0.726 0.726 0.246
0.754 0.274 0.274
```

Largest 10 diffraction maxima, sorted by position, 2θ = 5–70°:
| two_theta | I_rel |
| --- | --- |
| 27.06 | 100 |
| 30.40 | 88 |
| 41.14 | 41 |
| 45.60 | 25 |
| 48.97 | 8 |
| 52.00 | 32 |
| 54.01 | 17 |
| 55.79 | 11 |
| 63.24 | 15 |
| 64.86 | 18 |


Record 6
The following is a computed X-ray diffraction stick pattern of MgFeAg2SnS4. It was derived from a cell relaxed with GGA-PBE, using copper Kα.
Neutral-atom scattering factors, no anomalous dispersion.

Crystal structure
```
MgFeAg2SnS4
1.0
6.114 0.000 0.000
-0.132 6.118 0.000
-2.935 -3.026 5.596
Mg Fe Ag Sn S
1 1 2 1 4
direct
0.000 0.000 0.000
0.084 0.085 0.698
0.349 0.767 0.238
0.766 0.350 0.237
0.534 0.535 0.735
0.138 0.139 0.421
0.393 0.979 0.954
0.747 0.747 0.541
0.978 0.394 0.954
```

Largest 10 diffraction maxima, sorted by position, 2θ = 5–70°:
| two_theta | I_rel |
| --- | --- |
| 25.86 | 100 |
| 26.08 | 61 |
| 26.36 | 60 |
| 29.21 | 27 |
| 33.44 | 20 |
| 41.31 | 19 |
| 42.25 | 20 |
| 43.68 | 38 |
| 43.99 | 18 |
| 44.10 | 18 |


Record 7
The following is a computed X-ray diffraction stick pattern of NaTa4O8. It was derived from a cell relaxed with GGA-PBE, using copper Kα.
Neutral-atom scattering factors, no anomalous dispersion.

Crystal structure
```
NaTa4O8
1.0
4.858 -5.190 0.000
4.858 5.190 0.000
-0.968 0.000 9.648
Na Ta O
3 12 24
direct
0.000 0.000 0.000
0.288 0.288 0.290
0.524 0.524 0.522
0.007 0.007 0.508
0.010 0.576 0.520
0.068 0.505 0.023
0.237 0.801 0.292
0.304 0.304 0.802
0.309 0.743 0.786
0.505 0.068 0.023
0.510 0.510 0.008
0.576 0.010 0.520
0.743 0.309 0.786
0.801 0.237 0.292
0.805 0.805 0.305
0.006 0.276 0.447
0.036 0.307 0.860
0.089 0.814 0.640
0.097 0.716 0.905
0.227 0.498 0.671
0.232 0.580 0.405
0.276 0.006 0.447
0.307 0.036 0.860
0.313 0.584 0.140
0.319 0.989 0.156
0.485 0.824 0.652
0.498 0.227 0.671
0.501 0.776 0.952
0.535 0.806 0.362
0.580 0.232 0.405
0.584 0.313 0.140
0.716 0.097 0.905
0.726 0.997 0.169
0.776 0.501 0.952
0.806 0.535 0.362
0.814 0.089 0.640
0.824 0.485 0.652
0.989 0.319 0.156
0.997 0.726 0.169
```

Largest 10 diffraction maxima, sorted by position, 2θ = 5–70°:
| two_theta | I_rel |
| --- | --- |
| 14.98 | 59 |
| 16.07 | 22 |
| 17.08 | 21 |
| 30.22 | 100 |
| 31.36 | 18 |
| 32.46 | 84 |
| 34.56 | 19 |
| 37.24 | 43 |
| 38.66 | 23 |
| 51.71 | 36 |


Record 8
The following is a computed X-ray diffraction stick pattern of ErTiCo11. It was derived from a cell relaxed with GGA-PBE, using copper Kα.
Neutral-atom scattering factors, no anomalous dispersion.

Crystal structure
```
ErTiCo11
1.0
-2.342 4.171 4.147
2.342 -4.171 4.147
2.342 4.171 -4.147
Er Ti Co
1 1 11
direct
0.000 0.000 0.000
0.376 0.376 0.000
0.003 0.003 0.495
0.003 0.507 0.000
0.226 0.508 0.718
0.226 0.726 0.500
0.367 0.009 0.358
0.508 0.003 0.000
0.508 0.507 0.505
0.650 0.009 0.642
0.654 0.654 0.000
0.783 0.283 0.500
0.790 0.508 0.282
```

Largest 10 diffraction maxima, sorted by position, 2θ = 5–70°:
| two_theta | I_rel |
| --- | --- |
| 30.69 | 45 |
| 37.62 | 28 |
| 37.79 | 26 |
| 38.44 | 19 |
| 43.39 | 32 |
| 43.68 | 100 |
| 43.78 | 55 |
| 44.39 | 84 |
| 49.77 | 27 |
| 63.26 | 12 |